Diffraction record for BaCoAs2O8. The X-ray diffraction stick pattern is calculated, not measured: it uses a structure optimized by DFT (GGA+U) and λ = 1.5418 Å (Cu Kα).
Peak positions follow from Bragg's law for the DFT cell and can differ from measured ones.

Largest 12 diffraction maxima, by angle, 5 to 70 degrees two-theta:
| d/Å | I_rel |
| --- | --- |
| 3.456 | 100 |
| 3.166 | 10 |
| 2.633 | 11 |
| 2.456 | 37 |
| 2.431 | 20 |
| 2.002 | 20 |
| 1.796 | 7 |
| 1.728 | 8 |
| 1.552 | 18 |
| 1.539 | 9 |
| 1.418 | 11 |
| 1.413 | 8 |

Atomic structure:
abc: 8.3937 8.3937 8.3937
angles: 34.03 34.03 34.03
Fractional coordinates of all 12 atoms:
Ba 0.0000 0.0000 0.0000
Co 0.5000 0.5000 0.5000
As 0.2312 0.2312 0.2312
As 0.7688 0.7688 0.7688
O 0.1421 0.4552 0.7624
O 0.2376 0.8579 0.5448
O 0.3032 0.3032 0.3032
O 0.4552 0.7624 0.1421
O 0.5448 0.2376 0.8579
O 0.6968 0.6968 0.6968
O 0.7624 0.1421 0.4552
O 0.8579 0.5448 0.2376

***

Diffraction record for BaCo2As2O8. The X-ray diffraction stick pattern is calculated, not measured: it uses a structure optimized by DFT (GGA+U) and λ = 1.5418 Å (Cu Kα).
Peak positions follow from Bragg's law for the DFT cell and can differ from measured ones.

Largest 12 diffraction maxima, by angle, 5 to 70 degrees two-theta:
| d/Å | I_rel |
| --- | --- |
| 8.082 | 10 |
| 4.122 | 45 |
| 3.252 | 100 |
| 2.718 | 59 |
| 2.531 | 82 |
| 2.145 | 18 |
| 1.997 | 26 |
| 1.852 | 18 |
| 1.579 | 36 |
| 1.568 | 23 |
| 1.495 | 19 |
| 1.461 | 24 |

Atomic structure:
abc: 8.5940 8.5940 8.5940
angles: 34.25 34.25 34.25
Fractional coordinates of all 13 atoms:
Ba 0.0000 0.0000 0.0000
Co 0.1696 0.1696 0.1696
Co 0.8304 0.8304 0.8304
As 0.4272 0.4272 0.4272
As 0.5728 0.5728 0.5728
O 0.1258 0.4384 0.7830
O 0.2170 0.8742 0.5616
O 0.3573 0.3573 0.3573
O 0.4384 0.7830 0.1258
O 0.5616 0.2170 0.8742
O 0.6427 0.6427 0.6427
O 0.7830 0.1258 0.4384
O 0.8742 0.5616 0.2170